(1)
Ho10ThSc4: theoretical PXRD pattern (Cu Kα, 1.54184 Å), based on DFT lattice parameters and positions (GGA-PBE).
Peak positions follow from Bragg's law for the DFT cell and can differ from measured ones.

Crystal structure
```
data_Ho10ThSc4
_space_group_name_H-M_alt 'I 4/m'
_space_group_IT_number 87
_space_group_name_Hall '-I 4'
_cell_length_a 12.162
_cell_length_b 12.162
_cell_length_c 6.567
_cell_angle_alpha 90.00
_cell_angle_beta 90.00
_cell_angle_gamma 90.00
loop_
_atom_site_label
_atom_site_type_symbol
_atom_site_fract_x
_atom_site_fract_y
_atom_site_fract_z
_atom_site_occupancy
Ho1 Ho 0.000 0.500 0.250 1
Ho2 Ho 0.121 0.723 0.242 1
Th1 Th 0.000 0.000 0.000 1
Sc1 Sc 0.068 0.175 0.500 1
```

The 12 most intense peaks (2θ from 10° to 80°), by intensity:
2θ = 32.94°, 2.720 Å, intensity 100, (2 4 0); 2θ = 23.13°, 3.846 Å, intensity 93, (3 1 0); 2θ = 35.96°, 2.497 Å, intensity 88, (1 3 2); 2θ = 29.11°, 3.068 Å, intensity 49, (1 1 2); 2θ = 47.09°, 1.930 Å, intensity 49, (5 1 2); 2θ = 43.19°, 2.094 Å, intensity 36, (2 4 2); 2θ = 27.16°, 3.284 Å, intensity 36, (0 0 2); 2θ = 37.71°, 2.385 Å, intensity 29, (5 1 0); 2θ = 66.53°, 1.406 Å, intensity 26, (2 4 4); 2θ = 41.83°, 2.160 Å, intensity 25, (3 3 2); 2θ = 47.27°, 1.923 Å, intensity 23, (6 2 0); 2θ = 72.84°, 1.299 Å, intensity 22, (7 5 2)

---

(2)
Ba4LiRh4O12: theoretical PXRD pattern (Cu Kα, 1.54184 Å), based on DFT lattice parameters and positions (GGA-PBE).
Peak positions follow from Bragg's law for the DFT cell and can differ from measured ones.

Crystal structure
```
data_Ba4LiRh4O12
_space_group_name_H-M_alt 'P 3 m 1'
_space_group_IT_number 156
_cell_length_a 5.7736
_cell_length_b 5.7736
_cell_length_c 10.4759
_cell_angle_alpha 90.00
_cell_angle_beta 90.00
_cell_angle_gamma 120.00
loop_
_space_group_symop_operation_xyz
'x,y,z'
'-y,x-y,z'
'-x+y,-x,z'
'-y,-x,z'
'-x+y,y,z'
'x,x-y,z'
loop_
_atom_site_label
_atom_site_type_symbol
_atom_site_fract_x
_atom_site_fract_y
_atom_site_fract_z
_atom_site_occupancy
Ba1 Ba 0.0000 0.0000 0.0000 1
Ba2 Ba 0.0000 0.0000 0.4941 1
Ba3 Ba 0.3333 0.6667 0.7736 1
Ba4 Ba 0.6667 0.3333 0.2283 1
Li1 Li 0.3333 0.6667 0.5398 1
Rh1 Rh 0.3333 0.6667 0.0749 1
Rh2 Rh 0.3333 0.6667 0.3310 1
Rh3 Rh 0.6667 0.3333 0.5772 1
Rh4 Rh 0.6667 0.3333 0.8452 1
O1 O 0.0071 0.5036 0.4618 1
O2 O 0.1827 0.3654 0.2034 1
O3 O 0.3719 0.1860 0.7114 1
O4 O 0.5021 0.0042 0.9643 1
```

The 12 most intense peaks (2θ from 10° to 80°), by intensity:
2θ = 30.98°, 2.887 Å, intensity 100, (1 1 0); 2θ = 24.61°, 3.617 Å, intensity 53, (1 0 2); 2θ = 31.24°, 2.863 Å, intensity 43, (0 1 3); 2θ = 39.96°, 2.256 Å, intensity 32, (0 2 2); 2θ = 44.57°, 2.033 Å, intensity 25, (2 0 3); 2θ = 55.10°, 1.667 Å, intensity 19, (3 0 0); 2θ = 55.27°, 1.662 Å, intensity 19, (1 2 3); 2θ = 46.84°, 1.940 Å, intensity 18, (1 1 4); 2θ = 64.57°, 1.443 Å, intensity 18, (2 2 0); 2θ = 38.82°, 2.320 Å, intensity 15, (0 1 4); 2θ = 51.40°, 1.778 Å, intensity 12, (2 1 2); 2θ = 50.47°, 1.808 Å, intensity 10, (2 0 4)

---

(3)
Sr2LiHg10: theoretical PXRD pattern (Cu Kα, 1.54184 Å), based on DFT lattice parameters and positions (GGA-PBE).
Peak positions follow from Bragg's law for the DFT cell and can differ from measured ones.

Crystal structure
```
data_Sr2LiHg10
_space_group_name_H-M_alt 'P b a m'
_space_group_IT_number 55
_cell_length_a 10.916
_cell_length_b 12.837
_cell_length_c 5.983
_cell_angle_alpha 90.00
_cell_angle_beta 90.00
_cell_angle_gamma 90.00
loop_
_space_group_symop_operation_xyz
'x,y,z'
'-x,-y,-z'
'-x,-y,z'
'x,y,-z'
'x+1/2,-y+1/2,-z'
'-x+1/2,y+1/2,z'
'-x+1/2,y+1/2,-z'
'x+1/2,-y+1/2,z'
loop_
_atom_site_label
_atom_site_type_symbol
_atom_site_fract_x
_atom_site_fract_y
_atom_site_fract_z
_atom_site_occupancy
Sr1 Sr 0.146 0.161 0.000 1
Li1 Li 0.000 0.500 0.500 1
Hg1 Hg 0.031 0.885 0.500 1
Hg2 Hg 0.065 0.675 0.240 1
Hg3 Hg 0.196 0.314 0.500 1
Hg4 Hg 0.241 0.045 0.500 1
```

The 12 most intense peaks (2θ from 10° to 80°), by intensity:
2θ = 14.81°, 5.983 Å, intensity 100, (0 0 1); 2θ = 33.57°, 2.669 Å, intensity 57, (4 1 0); 2θ = 32.71°, 2.738 Å, intensity 47, (1 4 1); 2θ = 35.72°, 2.514 Å, intensity 47, (3 3 1); 2θ = 37.36°, 2.407 Å, intensity 45, (3 4 0); 2θ = 37.60°, 2.392 Å, intensity 38, (1 3 2); 2θ = 34.91°, 2.570 Å, intensity 36, (2 1 2); 2θ = 31.79°, 2.815 Å, intensity 30, (1 1 2); 2θ = 42.11°, 2.146 Å, intensity 28, (1 4 2); 2θ = 34.18°, 2.623 Å, intensity 25, (2 0 2); 2θ = 35.93°, 2.499 Å, intensity 24, (1 5 0); 2θ = 22.32°, 3.984 Å, intensity 24, (1 3 0)

---

(4)
AlHg3O2F6: theoretical PXRD pattern (Cu Kα, 1.54184 Å), based on DFT lattice parameters and positions (GGA-PBE).
Peak positions follow from Bragg's law for the DFT cell and can differ from measured ones.

Crystal structure
```
data_AlHg3O2F6
_space_group_name_H-M_alt 'R -3 m'
_space_group_IT_number 166
_space_group_name_Hall '-R 3 2"'
_cell_length_a 7.3467
_cell_length_b 7.3467
_cell_length_c 10.7937
_cell_angle_alpha 90.00
_cell_angle_beta 90.00
_cell_angle_gamma 120.00
loop_
_atom_site_label
_atom_site_type_symbol
_atom_site_fract_x
_atom_site_fract_y
_atom_site_fract_z
_atom_site_occupancy
Al1 Al 0.0000 0.0000 0.0000 1
Hg1 Hg 0.0000 0.5000 0.0000 1
O1 O 0.0000 0.0000 0.3510 1
F1 F 0.0959 0.5479 0.7632 1
```

The 12 most intense peaks (2θ from 10° to 80°), by intensity:
2θ = 29.27°, 3.051 Å, intensity 100, (0 2 1); 2θ = 32.68°, 2.741 Å, intensity 56, (2 0 2); 2θ = 24.75°, 3.598 Å, intensity 52, (0 0 3); 2θ = 44.00°, 2.058 Å, intensity 39, (0 2 4); 2θ = 56.23°, 1.636 Å, intensity 36, (2 2 3); 2θ = 49.64°, 1.837 Å, intensity 28, (2 2 0); 2θ = 51.14°, 1.786 Å, intensity 24, (2 0 5); 2θ = 16.17°, 5.481 Å, intensity 22, (1 0 1); 2θ = 73.73°, 1.285 Å, intensity 18, (2 2 6); 2θ = 38.35°, 2.347 Å, intensity 17, (2 1 1); 2θ = 60.70°, 1.526 Å, intensity 13, (0 4 2); 2θ = 58.67°, 1.574 Å, intensity 12, (4 0 1)

---

(5)
Yb2B6Os: theoretical PXRD pattern (Cu Kα, 1.54184 Å), based on DFT lattice parameters and positions (GGA-PBE).
Peak positions follow from Bragg's law for the DFT cell and can differ from measured ones.

Crystal structure
```
data_Yb2B6Os
_space_group_name_H-M_alt 'P b a m'
_space_group_IT_number 55
_cell_length_a 9.127
_cell_length_b 11.468
_cell_length_c 3.617
_cell_angle_alpha 90.00
_cell_angle_beta 90.00
_cell_angle_gamma 90.00
loop_
_space_group_symop_operation_xyz
'x,y,z'
'-x,-y,-z'
'-x,-y,z'
'x,y,-z'
'x+1/2,-y+1/2,-z'
'-x+1/2,y+1/2,z'
'-x+1/2,y+1/2,-z'
'x+1/2,-y+1/2,z'
loop_
_atom_site_label
_atom_site_type_symbol
_atom_site_fract_x
_atom_site_fract_y
_atom_site_fract_z
_atom_site_occupancy
Yb1 Yb 0.057 0.130 0.000 1
Yb2 Yb 0.177 0.414 0.000 1
B1 B 0.019 0.288 0.500 1
B2 B 0.053 0.567 0.500 1
B3 B 0.098 0.973 0.500 1
B4 B 0.130 0.815 0.500 1
B5 B 0.208 0.235 0.500 1
B6 B 0.250 0.081 0.500 1
Os1 Os 0.139 0.679 0.000 1
```

The 12 most intense peaks (2θ from 10° to 80°), by intensity:
2θ = 24.61°, 3.617 Å, intensity 100, (0 0 1); 2θ = 39.53°, 2.280 Å, intensity 81, (3 1 1); 2θ = 41.39°, 2.182 Å, intensity 38, (1 4 1); 2θ = 30.40°, 2.940 Å, intensity 35, (3 1 0); 2θ = 41.88°, 2.157 Å, intensity 31, (3 2 1); 2θ = 32.74°, 2.735 Å, intensity 30, (1 4 0); 2θ = 30.51°, 2.930 Å, intensity 30, (2 3 0); 2θ = 40.14°, 2.247 Å, intensity 25, (0 4 1); 2θ = 33.34°, 2.687 Å, intensity 24, (3 2 0); 2θ = 60.04°, 1.541 Å, intensity 24, (2 7 0); 2θ = 50.47°, 1.808 Å, intensity 23, (0 0 2); 2θ = 31.20°, 2.867 Å, intensity 21, (0 4 0)

---

(6)
Cs2Zn3Bi5: theoretical PXRD pattern (Cu Kα, 1.54184 Å), based on DFT lattice parameters and positions (GGA-PBE).
Peak positions follow from Bragg's law for the DFT cell and can differ from measured ones.

Crystal structure
```
data_Cs2Zn3Bi5
_space_group_name_H-M_alt 'I b a m'
_space_group_IT_number 72
_space_group_name_Hall '-I 2 2c'
_cell_length_a 11.651
_cell_length_b 15.258
_cell_length_c 7.531
_cell_angle_alpha 90.00
_cell_angle_beta 90.00
_cell_angle_gamma 90.00
loop_
_atom_site_label
_atom_site_type_symbol
_atom_site_fract_x
_atom_site_fract_y
_atom_site_fract_z
_atom_site_occupancy
Cs1 Cs 0.238 0.129 0.000 1
Zn1 Zn 0.000 0.000 0.250 1
Zn2 Zn 0.125 0.382 0.000 1
Bi1 Bi 0.000 0.266 0.250 1
Bi2 Bi 0.000 0.500 0.250 1
Bi3 Bi 0.125 0.112 0.500 1
```

The 12 most intense peaks (2θ from 10° to 80°), by intensity:
2θ = 33.44°, 2.680 Å, intensity 100, (0 4 2); 2θ = 28.22°, 3.162 Å, intensity 67, (2 0 2); 2θ = 27.96°, 3.191 Å, intensity 63, (2 4 0); 2θ = 28.38°, 3.145 Å, intensity 59, (3 2 1); 2θ = 39.10°, 2.304 Å, intensity 34, (4 0 2); 2θ = 38.90°, 2.315 Å, intensity 28, (4 4 0); 2θ = 15.21°, 5.825 Å, intensity 28, (2 0 0); 2θ = 74.09°, 1.280 Å, intensity 26, (8 4 2); 2θ = 56.76°, 1.622 Å, intensity 25, (2 4 4); 2θ = 25.54°, 3.488 Å, intensity 21, (1 1 2); 2θ = 42.29°, 2.137 Å, intensity 20, (5 2 1); 2θ = 48.34°, 1.883 Å, intensity 20, (0 0 4)

---

(7)
Tb4YIn2: theoretical PXRD pattern (Cu Kα, 1.54184 Å), based on DFT lattice parameters and positions (GGA-PBE).
Peak positions follow from Bragg's law for the DFT cell and can differ from measured ones.

Crystal structure
```
data_Tb4YIn2
_space_group_name_H-M_alt 'P 42/m n m'
_space_group_IT_number 136
_space_group_name_Hall '-P 4n 2n'
_cell_length_a 9.059
_cell_length_b 9.059
_cell_length_c 5.355
_cell_angle_alpha 90.00
_cell_angle_beta 90.00
_cell_angle_gamma 90.00
loop_
_atom_site_label
_atom_site_type_symbol
_atom_site_fract_x
_atom_site_fract_y
_atom_site_fract_z
_atom_site_occupancy
Tb1 Tb 0.080 0.333 0.000 1
Y1 Y 0.000 0.000 0.500 1
In1 In 0.248 0.248 0.500 1
```

The 12 most intense peaks (2θ from 10° to 80°), by intensity:
2θ = 35.54°, 2.526 Å, intensity 100, (3 1 1); 2θ = 27.61°, 3.231 Å, intensity 74, (2 1 1); 2θ = 33.47°, 2.677 Å, intensity 52, (0 0 2); 2θ = 32.58°, 2.749 Å, intensity 52, (2 2 1); 2θ = 31.22°, 2.865 Å, intensity 35, (3 1 0); 2θ = 13.83°, 6.405 Å, intensity 31, (1 1 0); 2θ = 46.42°, 1.956 Å, intensity 23, (3 1 2); 2θ = 53.39°, 1.716 Å, intensity 23, (5 0 1); 2θ = 61.18°, 1.515 Å, intensity 20, (3 1 3); 2θ = 75.24°, 1.263 Å, intensity 18, (6 2 2); 2θ = 41.08°, 2.197 Å, intensity 18, (4 1 0); 2θ = 53.99°, 1.698 Å, intensity 16, (4 1 2)

---

(8)
TbPm6Y6: theoretical PXRD pattern (Cu Kα, 1.54184 Å), based on DFT lattice parameters and positions (GGA-PBE).
Peak positions follow from Bragg's law for the DFT cell and can differ from measured ones.

Crystal structure
```
data_TbPm6Y6
_space_group_name_H-M_alt 'C m m m'
_space_group_IT_number 65
_space_group_name_Hall '-C 2 2'
_cell_length_a 7.170
_cell_length_b 11.242
_cell_length_c 11.093
_cell_angle_alpha 90.00
_cell_angle_beta 90.00
_cell_angle_gamma 90.00
loop_
_atom_site_label
_atom_site_type_symbol
_atom_site_fract_x
_atom_site_fract_y
_atom_site_fract_z
_atom_site_occupancy
Tb1 Tb 0.000 0.000 0.000 1
Pm1 Pm 0.000 0.000 0.324 1
Pm2 Pm 0.000 0.249 0.500 1
Pm3 Pm 0.000 0.360 0.000 1
Y1 Y 0.000 0.500 0.313 1
Y2 Y 0.250 0.250 0.222 1
```

The 12 most intense peaks (2θ from 10° to 80°), by intensity:
2θ = 28.90°, 3.089 Å, intensity 100, (0 2 3); 2θ = 33.77°, 2.654 Å, intensity 86, (2 2 2); 2θ = 29.67°, 3.011 Å, intensity 53, (2 0 2); 2θ = 24.84°, 3.585 Å, intensity 50, (2 0 0); 2θ = 38.47°, 2.340 Å, intensity 39, (2 2 3); 2θ = 31.84°, 2.811 Å, intensity 37, (0 4 0); 2θ = 29.55°, 3.023 Å, intensity 37, (2 2 0); 2θ = 34.86°, 2.574 Å, intensity 36, (2 0 3); 2θ = 55.97°, 1.643 Å, intensity 32, (2 0 6); 2θ = 41.64°, 2.169 Å, intensity 31, (2 4 1); 2θ = 32.28°, 2.773 Å, intensity 31, (0 0 4); 2θ = 26.84°, 3.321 Å, intensity 30, (1 3 0)

---

(9)
NaPu2Cd6: theoretical PXRD pattern (Cu Kα, 1.54184 Å), based on DFT lattice parameters and positions (GGA-PBE).
Peak positions follow from Bragg's law for the DFT cell and can differ from measured ones.

Crystal structure
```
data_NaPu2Cd6
_space_group_name_H-M_alt 'C 1 2/m 1'
_space_group_IT_number 12
_cell_length_a 15.545
_cell_length_b 8.963
_cell_length_c 3.101
_cell_angle_alpha 90.00
_cell_angle_beta 90.02
_cell_angle_gamma 90.00
loop_
_space_group_symop_operation_xyz
'x,y,z'
'-x,-y,-z'
'-x,y,-z'
'x,-y,z'
'x+1/2,y+1/2,z'
'-x+1/2,-y+1/2,-z'
'-x+1/2,y+1/2,-z'
'x+1/2,-y+1/2,z'
loop_
_atom_site_label
_atom_site_type_symbol
_atom_site_fract_x
_atom_site_fract_y
_atom_site_fract_z
_atom_site_occupancy
Na1 Na 0.000 0.000 0.000 1
Pu1 Pu 0.167 0.500 0.000 1
Cd1 Cd 0.000 0.332 0.500 1
Cd2 Cd 0.166 0.166 0.499 1
```

The 12 most intense peaks (2θ from 10° to 80°), by intensity:
2θ = 34.64°, 2.589 Å, intensity 100, (6 0 0); 2θ = 35.19°, 2.551 Å, intensity 96, (3 1 1); 2θ = 11.39°, 7.768 Å, intensity 39, (2 0 0); 2θ = 62.44°, 1.487 Å, intensity 36, (6 4 1); 2θ = 50.21°, 1.817 Å, intensity 35, (0 4 1); 2θ = 70.84°, 1.330 Å, intensity 24, (6 0 2); 2θ = 62.09°, 1.495 Å, intensity 18, (9 3 0); 2θ = 73.10°, 1.295 Å, intensity 11, (12 0 0); 2θ = 22.90°, 3.884 Å, intensity 9, (2 2 0); 2θ = 30.45°, 2.936 Å, intensity 9, (5 1 0); 2θ = 31.05°, 2.880 Å, intensity 9, (2 0 1); 2θ = 42.40°, 2.132 Å, intensity 7, (1 3 -1)

---

(10)
LaTb2HoSb4: theoretical PXRD pattern (Cu Kα, 1.54184 Å), based on DFT lattice parameters and positions (GGA-PBE).
Peak positions follow from Bragg's law for the DFT cell and can differ from measured ones.

Crystal structure
```
data_LaTb2HoSb4
_space_group_name_H-M_alt 'I 4/m m m'
_space_group_IT_number 139
_space_group_name_Hall '-I 4 2'
_cell_length_a 6.301
_cell_length_b 6.301
_cell_length_c 12.584
_cell_angle_alpha 90.00
_cell_angle_beta 90.00
_cell_angle_gamma 90.00
loop_
_atom_site_label
_atom_site_type_symbol
_atom_site_fract_x
_atom_site_fract_y
_atom_site_fract_z
_atom_site_occupancy
La1 La 0.000 0.000 0.000 1
Tb1 Tb 0.000 0.500 0.250 1
Ho1 Ho 0.000 0.000 0.500 1
Sb1 Sb 0.000 0.000 0.255 1
Sb2 Sb 0.000 0.500 0.000 1
```

The 9 most intense peaks (2θ from 10° to 80°), by intensity:
2θ = 28.34°, 3.149 Å, intensity 100, (2 0 0); 2θ = 40.51°, 2.227 Å, intensity 76, (2 2 0); 2θ = 66.38°, 1.408 Å, intensity 35, (4 2 0); 2θ = 50.18°, 1.818 Å, intensity 27, (2 2 4); 2θ = 73.70°, 1.286 Å, intensity 26, (4 2 4); 2θ = 58.63°, 1.574 Å, intensity 13, (4 0 0); 2θ = 24.48°, 3.636 Å, intensity 3, (1 1 2); 2θ = 47.91°, 1.899 Å, intensity 1, (1 1 6); 2θ = 64.50°, 1.445 Å, intensity 1, (3 1 6)

---

(11)
GaAgPtPb2: theoretical PXRD pattern (Cu Kα, 1.54184 Å), based on DFT lattice parameters and positions (GGA-PBE).
Peak positions follow from Bragg's law for the DFT cell and can differ from measured ones.

Crystal structure
```
data_GaAgPtPb2
_space_group_name_H-M_alt 'P m m 2'
_space_group_IT_number 25
_cell_length_a 3.430
_cell_length_b 3.727
_cell_length_c 9.120
_cell_angle_alpha 90.00
_cell_angle_beta 90.00
_cell_angle_gamma 90.00
loop_
_space_group_symop_operation_xyz
'x,y,z'
'-x,-y,z'
'-x,y,z'
'x,-y,z'
loop_
_atom_site_label
_atom_site_type_symbol
_atom_site_fract_x
_atom_site_fract_y
_atom_site_fract_z
_atom_site_occupancy
Ga1 Ga 0.000 0.000 0.000 1
Ag1 Ag 0.000 0.500 0.226 1
Pt1 Pt 0.500 0.500 0.964 1
Pb1 Pb 0.000 0.500 0.696 1
Pb2 Pb 0.500 0.000 0.420 1
```

The 12 most intense peaks (2θ from 10° to 80°), by intensity:
2θ = 32.67°, 2.741 Å, intensity 100, (1 0 2); 2θ = 36.96°, 2.432 Å, intensity 87, (1 1 1); 2θ = 25.83°, 3.450 Å, intensity 48, (0 1 1); 2θ = 40.87°, 2.208 Å, intensity 45, (1 1 2); 2θ = 30.99°, 2.886 Å, intensity 40, (0 1 2); 2θ = 60.04°, 1.541 Å, intensity 36, (1 2 2); 2θ = 46.76°, 1.943 Å, intensity 35, (1 1 3); 2θ = 39.53°, 2.280 Å, intensity 33, (0 0 4); 2θ = 48.88°, 1.863 Å, intensity 25, (0 2 0); 2θ = 38.21°, 2.356 Å, intensity 24, (0 1 3); 2θ = 53.43°, 1.715 Å, intensity 19, (2 0 0); 2θ = 29.38°, 3.040 Å, intensity 19, (0 0 3)

---

(12)
Tl5AgCl8: theoretical PXRD pattern (Cu Kα, 1.54184 Å), based on DFT lattice parameters and positions (GGA-PBE).
Peak positions follow from Bragg's law for the DFT cell and can differ from measured ones.

Crystal structure
```
data_Tl5AgCl8
_space_group_name_H-M_alt 'F -4 3 m'
_space_group_IT_number 216
_space_group_name_Hall 'F -4 2 3'
_cell_length_a 12.555
_cell_length_b 12.555
_cell_length_c 12.555
_cell_angle_alpha 90.00
_cell_angle_beta 90.00
_cell_angle_gamma 90.00
loop_
_atom_site_label
_atom_site_type_symbol
_atom_site_fract_x
_atom_site_fract_y
_atom_site_fract_z
_atom_site_occupancy
Tl1 Tl 0.000 0.000 0.000 1
Tl2 Tl 0.120 0.120 0.620 1
Ag1 Ag 0.250 0.250 0.250 1
Cl1 Cl 0.114 0.114 0.886 1
Cl2 Cl 0.127 0.127 0.373 1
```

The 12 most intense peaks (2θ from 10° to 80°), by intensity:
2θ = 23.50°, 3.785 Å, intensity 100, (3 1 1); 2θ = 40.65°, 2.219 Å, intensity 58, (4 4 0); 2θ = 37.21°, 2.416 Å, intensity 41, (3 3 3); 2θ = 56.28°, 1.635 Å, intensity 30, (7 3 1); 2θ = 28.44°, 3.139 Å, intensity 24, (4 0 0); 2θ = 20.00°, 4.439 Å, intensity 19, (2 2 0); 2θ = 24.56°, 3.624 Å, intensity 19, (2 2 2); 2θ = 73.97°, 1.281 Å, intensity 18, (8 4 4); 2θ = 47.49°, 1.915 Å, intensity 15, (5 3 3); 2θ = 64.25°, 1.450 Å, intensity 14, (5 5 5); 2θ = 78.86°, 1.214 Å, intensity 12, (7 7 3); 2θ = 48.07°, 1.893 Å, intensity 11, (6 2 2)